(1)
Theoretical X-ray diffraction stick pattern
Compound: Pm3Y2Al2
Radiation: Cu Kα X-rays
Structure: a PBE-relaxed structure
Intensities are scaled so that the largest is 100.

Crystal structure
```
data_Pm3Y2Al2
_symmetry_space_group_name_H-M 'I 4/m m m'
_symmetry_Int_Tables_number 139
_symmetry_space_group_name_Hall '-I 4 2'
_cell_length_a 3.5696
_cell_length_b 3.5696
_cell_length_c 31.6659
_cell_angle_alpha 90.00
_cell_angle_beta 90.00
_cell_angle_gamma 90.00
loop_
_atom_site_label
_atom_site_type_symbol
_atom_site_fract_x
_atom_site_fract_y
_atom_site_fract_z
Pm1 Pm 0.0000 0.0000 0.0000
Pm2 Pm 0.0000 0.0000 0.1258
Y1 Y 0.0000 0.0000 0.2896
Al1 Al 0.0000 0.0000 0.4364
```

The 10 most intense peaks (2θ from 10° to 90°), by angle:
22.5°, I 17; 25.1°, I 35; 28.7°, I 16; 31.9°, I 100; 35.6°, I 49; 35.8°, I 13; 42.5°, I 13; 51.2°, I 17; 55.7°, I 12; 61.6°, I 30

(2)
Theoretical X-ray diffraction stick pattern
Compound: NpAlH5
Radiation: Cu Kα X-rays
Structure: a PBE-relaxed structure
Intensities are scaled so that the largest is 100.

Crystal structure
```
data_NpAlH5
_symmetry_space_group_name_H-M 'C 1 2/m 1'
_symmetry_Int_Tables_number 12
_cell_length_a 7.4194
_cell_length_b 4.6126
_cell_length_c 3.9124
_cell_angle_alpha 90.00
_cell_angle_beta 121.42
_cell_angle_gamma 90.00
loop_
_symmetry_equiv_pos_as_xyz
'x,y,z'
'-x,-y,-z'
'-x,y,-z'
'x,-y,z'
'x+1/2,y+1/2,z'
'-x+1/2,-y+1/2,-z'
'-x+1/2,y+1/2,-z'
'x+1/2,-y+1/2,z'
loop_
_atom_site_label
_atom_site_type_symbol
_atom_site_fract_x
_atom_site_fract_y
_atom_site_fract_z
Np1 Np 0.0000 0.0000 0.0000
Al1 Al 0.0000 0.5000 0.5000
H1 H 0.0000 0.5000 0.0000
H2 H 0.1787 0.2192 0.6798
```

The 10 most intense peaks (2θ from 10° to 90°), by angle:
23.9°, I 100; 26.7°, I 38; 26.9°, I 38; 28.2°, I 54; 29.9°, I 92; 39.1°, I 23; 41.5°, I 39; 41.7°, I 39; 47.9°, I 17; 48.9°, I 34

(3)
Theoretical X-ray diffraction stick pattern
Compound: Pm2MgZn4Ga3
Radiation: Cu Kα X-rays
Structure: a PBE-relaxed structure
Intensities are scaled so that the largest is 100.

Crystal structure
```
data_Pm2MgZn4Ga3
_symmetry_space_group_name_H-M 'P -4 m 2'
_symmetry_Int_Tables_number 115
_cell_length_a 4.2613
_cell_length_b 4.2613
_cell_length_c 10.8146
_cell_angle_alpha 90.00
_cell_angle_beta 90.00
_cell_angle_gamma 90.00
loop_
_symmetry_equiv_pos_as_xyz
'x,y,z'
'y,-x,-z'
'-x,-y,z'
'-y,x,-z'
'-x,y,z'
'-y,-x,-z'
'x,-y,z'
'y,x,-z'
loop_
_atom_site_label
_atom_site_type_symbol
_atom_site_fract_x
_atom_site_fract_y
_atom_site_fract_z
Pm1 Pm 0.0000 0.5000 0.2358
Mg1 Mg 0.0000 0.0000 0.5000
Zn1 Zn 0.0000 0.0000 0.0000
Zn2 Zn 0.0000 0.5000 0.6431
Zn3 Zn 0.5000 0.5000 0.0000
Ga1 Ga 0.0000 0.5000 0.8678
Ga2 Ga 0.5000 0.5000 0.5000
```

The 10 most intense peaks (2θ from 10° to 90°), by angle:
29.6°, I 25; 32.5°, I 65; 34.1°, I 100; 42.4°, I 55; 47.1°, I 34; 54.5°, I 30; 61.6°, I 18; 65.3°, I 25; 72.3°, I 21; 85.0°, I 10